# PuThGaPb
Simulated powder X-ray diffraction pattern, CuKα. Input: a structure optimized by DFT (GGA-PBE).
Lines closer than 0.1° are merged.

Largest 6 diffraction maxima, by intensity, 2θ from 15° to 90°:
d = 2.679 Å, rel. 100
d = 1.547 Å, rel. 39
d = 1.894 Å, rel. 19
d = 1.198 Å, rel. 17
d = 1.339 Å, rel. 12
d = 3.789 Å, rel. 7

Atomic structure:
```
PuThGaPb
1.0
7.577 0.000 0.000
0.000 7.577 0.000
0.000 0.000 7.577
Pu Th Ga Pb
4 4 4 4
Cartesian
0.000 0.000 0.000
0.000 3.789 3.789
3.789 0.000 3.789
3.789 3.789 0.000
0.000 0.000 3.789
0.000 3.789 0.000
3.789 0.000 0.000
3.789 3.789 3.789
1.894 1.894 5.683
1.894 5.683 1.894
5.683 1.894 1.894
5.683 5.683 5.683
1.894 1.894 1.894
1.894 5.683 5.683
5.683 1.894 5.683
5.683 5.683 1.894
```

=====

# Tb5PmRu3
Simulated powder X-ray diffraction pattern, CuKα. Input: a structure optimized by DFT (GGA-PBE).
Lines closer than 0.1° are merged.

Largest 6 diffraction maxima, by intensity, 2θ from 15° to 90°:
d = 3.087 Å, rel. 100
d = 3.076 Å, rel. 99
d = 1.908 Å, rel. 83
d = 2.366 Å, rel. 42
d = 2.376 Å, rel. 40
d = 2.095 Å, rel. 37

Atomic structure:
```
Tb5PmRu3
1.0
6.199 -4.529 0.000
6.199 4.529 0.000
-3.893 0.000 9.255
Tb Pm Ru
10 2 6
Cartesian
-0.569 0.000 3.422
2.881 1.803 3.053
6.199 2.740 0.000
-0.453 0.000 8.949
5.624 1.803 6.202
2.881 -1.803 3.053
8.958 0.000 0.306
6.199 -2.740 0.000
5.624 -1.803 6.202
9.074 0.000 5.833
2.181 0.000 6.467
6.324 0.000 2.788
-0.601 0.000 6.195
1.430 0.000 1.548
6.199 0.000 0.000
4.253 0.000 4.627
7.075 0.000 7.707
9.106 0.000 3.059
```

=====

# Tb4Ho2ThMg
Simulated powder X-ray diffraction pattern, CuKα. Input: a structure optimized by DFT (GGA-PBE).
Lines closer than 0.1° are merged.

Largest 6 diffraction maxima, by intensity, 2θ from 15° to 90°:
d = 2.726 Å, rel. 100
d = 2.916 Å, rel. 60
d = 1.645 Å, rel. 45
d = 2.062 Å, rel. 23
d = 1.542 Å, rel. 18
d = 1.091 Å, rel. 12

Atomic structure:
```
Tb4Ho2ThMg
1.0
5.832 0.000 0.000
0.000 5.832 0.000
0.000 0.000 7.267
Tb Ho Th Mg
4 2 1 1
Cartesian
0.000 2.916 1.764
0.000 2.916 5.503
2.916 0.000 1.764
2.916 0.000 5.503
0.000 0.000 3.634
2.916 2.916 3.634
0.000 0.000 0.000
2.916 2.916 0.000
```